This entry pairs a crystal structure of Pu2MnCo3H12 with its simulated powder diffraction line list. Radiation: λ = 1.5418 Å (Cu Kα). Structure: a cell relaxed with PBE.
Neutral-atom scattering factors, no anomalous dispersion.

Peak list (8 most intense, 2θ = 5–70°, sorted by position)
- 2θ = 19.05°, intensity 68, hkl 1 0 1
- 2θ = 31.14°, intensity 97, hkl 1 0 4
- 2θ = 31.39°, intensity 92, hkl 1 1 0
- 2θ = 36.65°, intensity 73, hkl 0 1 5
- 2θ = 36.87°, intensity 100, hkl 1 1 3
- 2θ = 36.97°, intensity 65, hkl 0 2 1
- 2θ = 55.72°, intensity 40, hkl 2 1 4
- 2θ = 59.37°, intensity 36, hkl 1 2 5

Cell and atoms:
a = 5.6997 Å, b = 5.6997 Å, c = 14.1247 Å
α = 90.00°, β = 90.00°, γ = 120.00°
Space group R-3m (No. 166, hexagonal axes)
Inequivalent atoms, fractional coordinates:
Pu 0.0000 0.0000 0.1197 x6
Mn 0.0000 0.0000 0.5000 x3
Co 0.0000 0.5000 0.0000 x9
H 0.0235 0.5118 0.3459 x18
H 0.0263 0.5131 0.1151 x18